Record 1
For Lu2ZnB, a GGA-PBE-relaxed structure gives the calculated PXRD pattern in this record (Cu Kα).
Peak positions follow from Bragg's law for the DFT cell and can differ from measured ones.

Largest 8 diffraction maxima, sorted by position, 5 to 70 degrees two-theta:
- d 3.906, 2θ 22.76, I 14
- d 3.032, 2θ 29.46, I 24
- d 2.976, 2θ 30.03, I 15
- d 2.620, 2θ 34.22, I 100
- d 2.604, 2θ 34.44, I 17
- d 1.750, 2θ 52.27, I 22
- d 1.455, 2θ 63.97, I 16
- d 1.453, 2θ 64.10, I 17

Structural model:
Lattice parameters (Å, degrees): 3.501 3.501 15.626 90.00 90.00 120.00
Sites, in units of the cell vectors:
Lu  0.333  0.667  0.099
Lu  0.333  0.667  0.401
Lu  0.667  0.333  0.599
Lu  0.667  0.333  0.901
Zn  0.333  0.667  0.750
Zn  0.667  0.333  0.250
B  0.000  0.000  0.000
B  0.000  0.000  0.500

Record 2
For Mg3B7Mo, a GGA-PBE-relaxed structure gives the calculated PXRD pattern in this record (Cu Kα).
Peak positions follow from Bragg's law for the DFT cell and can differ from measured ones.

Largest 8 diffraction maxima, sorted by position, 5 to 70 degrees two-theta:
- d 7.847, 2θ 11.28, I 100
- d 5.057, 2θ 17.54, I 46
- d 4.251, 2θ 20.90, I 27
- d 3.123, 2θ 28.58, I 18
- d 3.100, 2θ 28.80, I 18
- d 2.455, 2θ 36.61, I 18
- d 2.292, 2θ 39.31, I 30
- d 1.803, 2θ 50.63, I 19

Structural model:
Lattice parameters (Å, degrees): 15.771 15.771 5.057 90.00 90.00 168.58
Sites, in units of the cell vectors:
Mg  0.044  0.956  0.248
Mg  0.044  0.956  0.752
Mg  0.287  0.713  0.500
Mg  0.713  0.287  0.500
Mg  0.956  0.044  0.248
Mg  0.956  0.044  0.752
B  0.183  0.817  0.169
B  0.183  0.817  0.831
B  0.341  0.659  0.184
B  0.341  0.659  0.816
B  0.398  0.602  0.180
B  0.398  0.602  0.820
B  0.422  0.578  0.500
B  0.578  0.422  0.500
B  0.602  0.398  0.180
B  0.602  0.398  0.820
B  0.659  0.341  0.184
B  0.659  0.341  0.816
B  0.817  0.183  0.169
B  0.817  0.183  0.831
Mo  0.131  0.869  0.500
Mo  0.869  0.131  0.500

Record 3
For MgNi3B2, a GGA-PBE-relaxed structure gives the calculated PXRD pattern in this record (Cu Kα).
Peak positions follow from Bragg's law for the DFT cell and can differ from measured ones.

Largest 8 diffraction maxima, sorted by position, 5 to 70 degrees two-theta:
- d 4.231, 2θ 20.99, I 32
- d 2.922, 2θ 30.59, I 23
- d 2.405, 2θ 37.40, I 31
- d 2.116, 2θ 42.74, I 100
- d 1.946, 2θ 46.67, I 27
- d 1.874, 2θ 48.57, I 22
- d 1.714, 2θ 53.47, I 37
- d 1.631, 2θ 56.40, I 14

Structural model:
Lattice parameters (Å, degrees): 4.886 4.886 8.767 90.00 90.00 120.00
Sites, in units of the cell vectors:
Mg  0.000  0.000  0.000
Mg  0.000  0.000  0.333
Mg  0.000  0.000  0.667
Ni  0.000  0.500  0.125
Ni  0.000  0.500  0.542
Ni  0.000  0.500  0.833
Ni  0.500  0.000  0.209
Ni  0.500  0.000  0.500
Ni  0.500  0.000  0.791
Ni  0.500  0.500  0.167
Ni  0.500  0.500  0.458
Ni  0.500  0.500  0.875
B  0.223  0.611  0.333
B  0.389  0.611  0.667
B  0.389  0.777  0.000
B  0.611  0.223  0.000
B  0.611  0.389  0.667
B  0.777  0.389  0.333

Record 4
For MgNi3B2, a GGA-PBE-relaxed structure gives the calculated PXRD pattern in this record (Cu Kα).
Peak positions follow from Bragg's law for the DFT cell and can differ from measured ones.

Largest 8 diffraction maxima, sorted by position, 5 to 70 degrees two-theta:
- d 4.229, 2θ 21.00, I 32
- d 2.925, 2θ 30.56, I 23
- d 2.406, 2θ 37.38, I 31
- d 2.115, 2θ 42.76, I 100
- d 1.948, 2θ 46.64, I 27
- d 1.875, 2θ 48.57, I 22
- d 1.714, 2θ 53.47, I 37
- d 1.632, 2θ 56.38, I 14

Structural model:
Lattice parameters (Å, degrees): 4.884 4.884 8.776 90.00 90.00 120.00
Sites, in units of the cell vectors:
Mg  0.000  0.000  0.000
Mg  0.000  0.000  0.333
Mg  0.000  0.000  0.667
Ni  0.000  0.500  0.167
Ni  0.000  0.500  0.458
Ni  0.000  0.500  0.876
Ni  0.500  0.000  0.209
Ni  0.500  0.000  0.500
Ni  0.500  0.000  0.791
Ni  0.500  0.500  0.124
Ni  0.500  0.500  0.542
Ni  0.500  0.500  0.833
B  0.222  0.611  0.667
B  0.389  0.611  0.333
B  0.389  0.778  0.000
B  0.611  0.222  0.000
B  0.611  0.389  0.333
B  0.778  0.389  0.667

Question: Number 1 is which compound?
Answer: Lu2ZnB